Diffraction record for NaSr2Tl. The X-ray diffraction stick pattern is calculated, not measured: it uses a cell relaxed with GGA-PBE and Cu Kα (λ = 1.5418 Å).

Largest 10 diffraction maxima, most intense first, 10° ≤ 2θ ≤ 90°:
d (Å)	2theta	I_rel
2.975	30.04	100.0
4.858	18.26	41.3
1.718	53.34	39.9
2.537	35.38	24.6
1.124	86.56	20.5
2.104	43.00	18.8
1.330	70.82	17.1
1.488	62.43	12.4
1.930	47.07	11.3
1.619	56.86	8.8

Cell and atoms:
```
NaSr2Tl
1.0
0.0000 4.2073 4.2073
4.2073 0.0000 4.2073
4.2073 4.2073 0.0000
Na Sr Tl
1 2 1
Direct
0.0000 0.0000 0.0000
0.2500 0.2500 0.2500
0.7500 0.7500 0.7500
0.5000 0.5000 0.5000
```

---

Diffraction record for Na3Ta. The X-ray diffraction stick pattern is calculated, not measured: it uses a cell relaxed with GGA-PBE and Cu Kα (λ = 1.5418 Å).

Largest 10 diffraction maxima, most intense first, 10° ≤ 2θ ≤ 90°:
d (Å)	2theta	I_rel
4.292	20.70	100.0
2.799	31.98	92.7
5.119	17.32	37.6
2.767	32.36	33.2
2.070	43.72	29.6
2.364	38.07	28.8
3.343	26.67	27.1
1.435	65.00	23.2
1.736	52.72	22.3
1.797	50.81	19.3

Cell and atoms:
```
Na3Ta
1.0
-2.3635 2.3635 5.1187
2.3635 -2.3635 5.1187
2.3635 2.3635 -5.1187
Na Ta
3 1
Direct
0.0000 0.0000 0.0000
0.2500 0.7500 0.5000
0.7500 0.2500 0.5000
0.5000 0.5000 0.0000
```